Entry 1:
Structure and calculated powder XRD pattern of Tm3Cd2Ru (a crystal structure in Alexandria, relaxed with GGA-PBE; Cu Kα (weighted mean of Kα1 and Kα2)).

Structure:
```
Tm3Cd2Ru
1.0
4.9759 0.0000 0.0000
0.0000 7.4877 0.0000
-2.4853 0.0000 7.4173
Tm Cd Ru
6 4 2
Direct
0.0000 0.2302 0.0000
0.0000 0.7698 0.0000
0.3256 0.2198 0.6510
0.3256 0.7802 0.6510
0.6744 0.2198 0.3490
0.6744 0.7802 0.3490
0.1649 0.5000 0.3318
0.5000 0.0000 0.0000
0.5000 0.5000 0.0000
0.8351 0.5000 0.6682
0.1634 0.0000 0.3266
0.8366 0.0000 0.6734
```

Main lines, low angle first (15° ≤ 2θ ≤ 90°):
2theta  I/Imax
35.06  100
36.10  25
36.34  24
48.64  8
52.15  18
62.04  9
62.20  7
64.25  17
64.55  15
74.07  10


Entry 2:
Structure and calculated powder XRD pattern of TmMg2Co9 (a crystal structure in Alexandria, relaxed with GGA-PBE; Cu Kα (weighted mean of Kα1 and Kα2)).

Structure:
```
TmMg2Co9
1.0
2.4331 1.4048 7.8570
-2.4331 1.4048 7.8570
0.0000 -2.8095 7.8570
Tm Mg Co
1 2 9
Direct
0.0000 0.0000 0.0000
0.1433 0.1433 0.1433
0.8567 0.8567 0.8567
0.0772 0.5879 0.5879
0.3361 0.3361 0.3361
0.4121 0.4121 0.9228
0.4121 0.9228 0.4121
0.5000 0.5000 0.5000
0.5879 0.0772 0.5879
0.5879 0.5879 0.0772
0.6639 0.6639 0.6639
0.9228 0.4121 0.4121
```

Main lines, low angle first (15° ≤ 2θ ≤ 90°):
2theta  I/Imax
25.99  28
36.94  25
37.24  24
38.74  19
43.10  31
43.64  23
43.76  100
46.22  28
71.30  22
78.65  18


Entry 3:
Structure and calculated powder XRD pattern of CsTi2P3O10F4 (a crystal structure in Alexandria, relaxed with GGA-PBE; Cu Kα (weighted mean of Kα1 and Kα2)).

Structure:
```
CsTi2P3O10F4
1.0
8.7312 0.0000 0.0000
0.0000 8.5289 0.0000
-0.7564 0.0000 8.8938
Cs Ti P O F
2 4 6 20 8
Direct
0.0000 0.0967 0.2500
0.0000 0.9033 0.7500
0.3364 0.2448 0.9544
0.3364 0.7552 0.4544
0.6636 0.2448 0.5456
0.6636 0.7552 0.0456
0.3044 0.3963 0.6029
0.3044 0.6037 0.1029
0.5000 0.0368 0.2500
0.5000 0.9632 0.7500
0.6956 0.3963 0.8971
0.6956 0.6037 0.3971
0.2763 0.3597 0.7647
0.2763 0.6403 0.2647
0.2782 0.4308 0.0669
0.2782 0.5692 0.5669
0.3925 0.0645 0.8382
0.3925 0.9355 0.3382
0.3973 0.1407 0.1416
0.3973 0.8593 0.6416
0.4522 0.3304 0.5511
0.4522 0.6696 0.0511
0.5478 0.3304 0.9489
0.5478 0.6696 0.4489
0.6027 0.1407 0.3584
0.6027 0.8593 0.8584
0.6075 0.0645 0.6618
0.6075 0.9355 0.1618
0.7218 0.4308 0.4331
0.7218 0.5692 0.9331
0.7237 0.3597 0.7353
0.7237 0.6403 0.2353
0.1391 0.1653 0.9551
0.1391 0.8347 0.4551
0.1719 0.3075 0.5043
0.1719 0.6925 0.0043
0.8281 0.3075 0.9957
0.8281 0.6925 0.4957
0.8609 0.1653 0.5449
0.8609 0.8347 0.0449
```

Main lines, low angle first (15° ≤ 2θ ≤ 90°):
2theta  I/Imax
18.14  75
22.55  62
22.95  100
23.15  92
24.35  67
25.68  48
27.44  36
29.01  41
31.96  29
39.64  49


Which formula does entry 2 have?
TmMg2Co9